No. 1
Structure and computed X-ray diffraction stick pattern of FeOF (a crystal structure in the Materials Project, relaxed with PBE+U; Cu Kα (weighted mean of Kα1 and Kα2)).
Lines closer than 0.1° are merged.

Top 12 peaks for 2θ = 5–70°, by angle:
3.343 Å, 2θ = 26.67°, intensity 100, (3 0 -3)
2.595 Å, 2θ = 34.56°, intensity 56, (0 1 3)
2.275 Å, 2θ = 39.61°, intensity 19, (3 1 -3)
1.752 Å, 2θ = 52.22°, intensity 15, (3 1 -6)
1.748 Å, 2θ = 52.35°, intensity 29, (3 1 6)
1.743 Å, 2θ = 52.49°, intensity 14, (6 1 3)
1.674 Å, 2θ = 54.84°, intensity 8, (6 0 -6)
1.669 Å, 2θ = 55.04°, intensity 8, (6 0 6)
1.553 Å, 2θ = 59.54°, intensity 10, (0 2 0)
1.409 Å, 2θ = 66.32°, intensity 10, (0 1 9)
1.408 Å, 2θ = 66.39°, intensity 13, (3 2 3)
1.401 Å, 2θ = 66.76°, intensity 8, (9 1 0)

Lattice parameters (Å, degrees): 14.1305 3.1053 14.2348 90.00 90.19 90.00
Atoms (fractional coordinates):
1 Fe 0.0000 0.0000 0.0000
2 Fe 0.0033 0.0000 0.7044
3 Fe 0.1615 0.5000 0.8530
4 Fe 0.1746 0.5000 0.1834
5 Fe 0.1759 0.5000 0.5196
6 Fe 0.3085 0.0000 0.6924
7 Fe 0.3097 0.0000 0.0092
8 Fe 0.3130 0.0000 0.3521
9 Fe 0.4968 0.5000 0.5292
10 Fe 0.5012 0.5000 0.1769
11 Fe 0.5127 0.5000 0.8441
12 Fe 0.6491 0.0000 0.0154
13 Fe 0.6604 0.0000 0.6771
14 Fe 0.6715 0.0000 0.3649
15 Fe 0.8252 0.5000 0.5250
16 Fe 0.8401 0.5000 0.1897
17 Fe 0.8443 0.5000 0.8507
18 Fe 0.9765 0.0000 0.3604
19 O 0.0640 0.5000 0.7534
20 O 0.1003 0.0000 0.9168
21 O 0.2254 0.0000 0.7917
22 O 0.2267 0.0000 0.1208
23 O 0.2291 0.0000 0.4558
24 O 0.2614 0.5000 0.6248
25 O 0.2631 0.5000 0.9513
26 O 0.2663 0.5000 0.2885
27 O 0.5631 0.0000 0.1252
28 O 0.5641 0.0000 0.7825
29 O 0.5971 0.5000 0.6180
30 O 0.5974 0.5000 0.9558
31 O 0.7246 0.5000 0.4167
32 O 0.7628 0.0000 0.5873
33 O 0.8918 0.0000 0.4591
34 O 0.8927 0.0000 0.7876
35 O 0.9257 0.5000 0.2885
36 O 0.9311 0.5000 0.9557
37 F 0.0593 0.5000 0.0887
38 F 0.0600 0.5000 0.4198
39 F 0.0954 0.0000 0.5824
40 F 0.0961 0.0000 0.2541
41 F 0.3948 0.5000 0.0848
42 F 0.3948 0.5000 0.7532
43 F 0.3984 0.5000 0.4207
44 F 0.4265 0.0000 0.5876
45 F 0.4321 0.0000 0.9161
46 F 0.4335 0.0000 0.2532
47 F 0.5554 0.0000 0.4501
48 F 0.5951 0.5000 0.2906
49 F 0.7279 0.5000 0.7551
50 F 0.7331 0.5000 0.0870
51 F 0.7581 0.0000 0.2455
52 F 0.7628 0.0000 0.9216
53 F 0.8960 0.0000 0.1195
54 F 0.9364 0.5000 0.6253

=====

No. 2
Structure and computed X-ray diffraction stick pattern of LaMoBrO4 (a crystal structure in the Materials Project, relaxed with PBE+U; Cu Kα (weighted mean of Kα1 and Kα2)).
Lines closer than 0.1° are merged.

Top 12 peaks for 2θ = 5–70°, by angle:
4.971 Å, 2θ = 17.84°, intensity 24, (2 0 0)
3.819 Å, 2θ = 23.29°, intensity 51, (2 1 0)
3.359 Å, 2θ = 26.54°, intensity 45, (0 1 2)
3.182 Å, 2θ = 28.04°, intensity 58, (1 1 -2)
3.147 Å, 2θ = 28.36°, intensity 47, (2 0 2)
2.983 Å, 2θ = 29.96°, intensity 69, (0 2 0)
2.897 Å, 2θ = 30.87°, intensity 55, (3 1 0)
2.783 Å, 2θ = 32.16°, intensity 100, (2 1 -2)
2.294 Å, 2θ = 39.27°, intensity 31, (4 1 0)
2.165 Å, 2θ = 41.72°, intensity 24, (2 2 2)
2.032 Å, 2θ = 44.58°, intensity 33, (0 0 4)
1.680 Å, 2θ = 54.62°, intensity 38, (0 2 4)

Lattice parameters (Å, degrees): 9.9416 5.9659 8.1295 90.00 90.19 90.00
Atoms (fractional coordinates):
1 La 0.0000 0.0458 0.0000
2 La 0.0000 0.9542 0.5000
3 La 0.4373 0.4518 0.2484
4 La 0.4373 0.5482 0.7484
5 Mo 0.5777 0.0046 0.0310
6 Mo 0.5777 0.9954 0.5310
7 Mo 0.8583 0.4922 0.7809
8 Mo 0.8583 0.5078 0.2809
9 Br 0.1925 0.4961 0.9962
10 Br 0.1925 0.5039 0.4962
11 Br 0.2436 0.0019 0.2467
12 Br 0.2436 0.9981 0.7467
13 O 0.4904 0.2670 0.5200
14 O 0.4904 0.7330 0.0200
15 O 0.4944 0.2668 0.9694
16 O 0.4944 0.7332 0.4694
17 O 0.5655 0.0597 0.2488
18 O 0.5655 0.9403 0.7488
19 O 0.6827 0.4893 0.7415
20 O 0.6827 0.5107 0.2415
21 O 0.7533 0.0100 0.4957
22 O 0.7533 0.9900 0.9957
23 O 0.8688 0.4370 0.9986
24 O 0.8688 0.5630 0.4986
25 O 0.9425 0.2336 0.2691
26 O 0.9425 0.7664 0.7691
27 O 0.9462 0.2336 0.7222
28 O 0.9462 0.7664 0.2222

=====

No. 3
Structure and computed X-ray diffraction stick pattern of FeH10S2N4O8 (a crystal structure in the Materials Project, relaxed with PBE+U; Cu Kα (weighted mean of Kα1 and Kα2)).
Lines closer than 0.1° are merged.

Top 12 peaks for 2θ = 5–70°, by angle:
7.285 Å, 2θ = 12.15°, intensity 94, (0 0 1)
5.854 Å, 2θ = 15.14°, intensity 38, (0 1 0)
4.729 Å, 2θ = 18.76°, intensity 100, (0 1 -1)
3.991 Å, 2θ = 22.27°, intensity 68, (-1 1 1)
3.751 Å, 2θ = 23.72°, intensity 46, (1 0 1)
3.643 Å, 2θ = 24.44°, intensity 19, (0 0 2)
3.556 Å, 2θ = 25.04°, intensity 78, (1 1 0)
3.441 Å, 2θ = 25.89°, intensity 27, (1 0 -2)
3.196 Å, 2θ = 27.92°, intensity 42, (0 1 -2)
3.040 Å, 2θ = 29.38°, intensity 47, (-1 1 2)
2.941 Å, 2θ = 30.39°, intensity 34, (1 1 1)
2.657 Å, 2θ = 33.73°, intensity 55, (2 0 -1)

Lattice parameters (Å, degrees): 5.4146 5.9537 7.5668 91.33 105.16 99.70
Atoms (fractional coordinates):
1 Fe 0.0000 0.0000 0.0000
2 H 0.1091 0.2736 0.7332
3 H 0.1284 0.9387 0.3671
4 H 0.1927 0.5374 0.1860
5 H 0.2714 0.6027 0.4181
6 H 0.4267 0.7673 0.2830
7 H 0.5733 0.2327 0.7170
8 H 0.7286 0.3973 0.5819
9 H 0.8073 0.4626 0.8140
10 H 0.8716 0.0613 0.6329
11 H 0.8909 0.7264 0.2668
12 S 0.3681 0.7615 0.7790
13 S 0.6319 0.2385 0.2210
14 N 0.0638 0.8212 0.2561
15 N 0.2500 0.6683 0.2878
16 N 0.7500 0.3317 0.7122
17 N 0.9362 0.1788 0.7439
18 O 0.1820 0.7412 0.8962
19 O 0.3014 0.5522 0.6511
20 O 0.3505 0.9670 0.6722
21 O 0.3609 0.2268 0.1003
22 O 0.6391 0.7732 0.8997
23 O 0.6495 0.0330 0.3278
24 O 0.6986 0.4478 0.3489
25 O 0.8180 0.2588 0.1038

=====

No. 4
Structure and computed X-ray diffraction stick pattern of LiMnP4O12 (a crystal structure in the Materials Project, relaxed with PBE+U; Cu Kα (weighted mean of Kα1 and Kα2)).
Lines closer than 0.1° are merged.

Top 12 peaks for 2θ = 5–70°, by angle:
5.666 Å, 2θ = 15.64°, intensity 62, (0 1 1)
5.523 Å, 2θ = 16.05°, intensity 44, (1 1 0)
5.069 Å, 2θ = 17.49°, intensity 100, (1 1 -1)
3.850 Å, 2θ = 23.10°, intensity 92, (1 2 0)
3.446 Å, 2θ = 25.86°, intensity 23, (1 1 -2)
3.350 Å, 2θ = 26.61°, intensity 54, (2 1 -1)
3.335 Å, 2θ = 26.73°, intensity 44, (0 1 2)
3.154 Å, 2θ = 28.29°, intensity 66, (1 2 1)
2.843 Å, 2θ = 31.47°, intensity 35, (2 2 -1)
2.691 Å, 2θ = 33.29°, intensity 28, (1 1 2)
2.535 Å, 2θ = 35.41°, intensity 19, (2 2 -2)
2.523 Å, 2θ = 35.59°, intensity 22, (1 0 -3)

Lattice parameters (Å, degrees): 7.2714 9.3012 7.5688 90.00 109.28 90.00
Atoms (fractional coordinates):
1 Li 0.1257 0.0000 0.4166
2 Li 0.8743 0.5000 0.5834
3 Mn 0.2543 0.3397 0.7539
4 Mn 0.7457 0.8397 0.2461
5 P 0.0584 0.9225 0.0192
6 P 0.1041 0.5442 0.3687
7 P 0.4051 0.1318 0.1237
8 P 0.4519 0.7485 0.4811
9 P 0.5481 0.2485 0.5189
10 P 0.5949 0.6318 0.8763
11 P 0.8959 0.0442 0.6313
12 P 0.9416 0.4225 0.9808
13 O 0.0550 0.4364 0.8422
14 O 0.0569 0.1500 0.6534
15 O 0.0989 0.4661 0.1814
16 O 0.1010 0.4295 0.5128
17 O 0.1641 0.7891 0.0112
18 O 0.1906 0.0659 0.0636
19 O 0.3172 0.6077 0.4320
20 O 0.3392 0.8814 0.4810
21 O 0.3998 0.2507 0.9864
22 O 0.4048 0.2106 0.3129
23 O 0.4177 0.2379 0.6373
24 O 0.4363 0.5242 0.8379
25 O 0.5637 0.0242 0.1621
26 O 0.5823 0.7379 0.3627
27 O 0.5952 0.7106 0.6871
28 O 0.6002 0.7507 0.0136
29 O 0.6608 0.3814 0.5190
30 O 0.6828 0.1077 0.5680
31 O 0.8094 0.5659 0.9364
32 O 0.8359 0.2891 0.9888
33 O 0.8990 0.9295 0.4872
34 O 0.9011 0.9661 0.8186
35 O 0.9431 0.6500 0.3466
36 O 0.9450 0.9364 0.1578

=====

No. 5
Structure and computed X-ray diffraction stick pattern of BaMo4O7 (a crystal structure in the Materials Project, relaxed with PBE+U; Cu Kα (weighted mean of Kα1 and Kα2)).
Lines closer than 0.1° are merged.

Top 12 peaks for 2θ = 5–70°, by angle:
5.232 Å, 2θ = 16.95°, intensity 100, (1 0 1)
3.176 Å, 2θ = 28.10°, intensity 40, (1 0 3)
2.918 Å, 2θ = 30.63°, intensity 85, (1 1 2)
2.856 Å, 2θ = 31.32°, intensity 93, (2 0 1)
2.825 Å, 2θ = 31.67°, intensity 32, (0 0 4)
2.616 Å, 2θ = 34.28°, intensity 22, (2 0 2)
2.323 Å, 2θ = 38.76°, intensity 16, (2 0 3)
1.858 Å, 2θ = 49.02°, intensity 27, (3 0 2)
1.794 Å, 2θ = 50.88°, intensity 31, (2 0 5)
1.751 Å, 2θ = 52.24°, intensity 16, (2 1 4)
1.704 Å, 2θ = 53.79°, intensity 29, (2 2 0)
1.459 Å, 2θ = 63.78°, intensity 21, (2 2 4)

Lattice parameters (Å, degrees): 6.8164 6.8164 11.3011 90.00 90.00 120.00
Atoms (fractional coordinates):
1 Ba 0.3333 0.6667 0.0000
2 Ba 0.6667 0.3333 0.5000
3 Mo 0.0000 0.0000 0.4627
4 Mo 0.0000 0.0000 0.9627
5 Mo 0.1871 0.3743 0.7228
6 Mo 0.1871 0.8129 0.7228
7 Mo 0.3743 0.1871 0.2228
8 Mo 0.6257 0.8129 0.7228
9 Mo 0.8129 0.1871 0.2228
10 Mo 0.8129 0.6257 0.2228
11 O 0.0000 0.0000 0.2848
12 O 0.0000 0.0000 0.7848
13 O 0.0490 0.5245 0.8199
14 O 0.1418 0.2835 0.5509
15 O 0.1418 0.8582 0.5509
16 O 0.2835 0.1418 0.0509
17 O 0.4755 0.5245 0.8199
18 O 0.4755 0.9510 0.8199
19 O 0.5245 0.0490 0.3199
20 O 0.5245 0.4755 0.3199
21 O 0.7165 0.8582 0.5509
22 O 0.8582 0.1418 0.0509
23 O 0.8582 0.7165 0.0509
24 O 0.9510 0.4755 0.3199

=====

No. 6
Structure and computed X-ray diffraction stick pattern of LiV2Zn2Si2O10 (a crystal structure in the Materials Project, relaxed with PBE+U; Cu Kα (weighted mean of Kα1 and Kα2)).
Lines closer than 0.1° are merged.

Top 12 peaks for 2θ = 5–70°, by angle:
4.993 Å, 2θ = 17.77°, intensity 55, (1 0 0)
4.948 Å, 2θ = 17.93°, intensity 30, (1 0 -1)
3.348 Å, 2θ = 26.62°, intensity 61, (1 0 -2)
3.331 Å, 2θ = 26.76°, intensity 93, (0 1 -2)
3.257 Å, 2θ = 27.38°, intensity 98, (1 1 0)
2.498 Å, 2θ = 35.95°, intensity 100, (1 -2 0)
2.454 Å, 2θ = 36.62°, intensity 22, (2 -1 0)
2.310 Å, 2θ = 38.99°, intensity 36, (1 2 -2)
2.082 Å, 2θ = 43.46°, intensity 50, (2 1 0)
1.837 Å, 2θ = 49.63°, intensity 34, (1 1 -4)
1.665 Å, 2θ = 55.17°, intensity 20, (3 1 -2)
1.474 Å, 2θ = 63.07°, intensity 21, (-3 2 2)

Lattice parameters (Å, degrees): 5.4025 5.5076 7.3493 108.07 109.11 94.79
Atoms (fractional coordinates):
1 Li 0.0000 0.0000 0.0000
2 V 0.5790 0.8368 0.0970
3 V 0.5816 0.8270 0.5887
4 Zn 0.3651 0.2376 0.4143
5 Zn 0.8379 0.4534 0.8617
6 Si 0.2668 0.2249 0.8535
7 Si 0.9114 0.4580 0.3355
8 O 0.2315 0.5765 0.4831
9 O 0.2598 0.5380 0.9431
10 O 0.3609 0.1024 0.0363
11 O 0.4429 0.1661 0.7047
12 O 0.5044 0.9127 0.3590
13 O 0.6758 0.7604 0.8382
14 O 0.7167 0.5101 0.4706
15 O 0.8164 0.5749 0.1493
16 O 0.9178 0.1430 0.2416
17 O 0.9390 0.1034 0.7365